Starting from a crystal structure in the Materials Project, relaxed with GGA-PBE, the powder X-ray diffraction pattern of Er2InNi2 was calculated for Cu Kα, 1.54184 Å.

Main lines, low angle first (2θ from 10° to 90°):
3.271 Å, 27.26 deg, rel. 24, (2 1 0); 2.560 Å, 35.06 deg, rel. 54, (2 0 1); 2.416 Å, 37.22 deg, rel. 100, (2 1 1); 2.313 Å, 38.94 deg, rel. 44, (3 1 0); 1.792 Å, 50.97 deg, rel. 15, (0 0 2); 1.590 Å, 58.01 deg, rel. 18, (4 1 1); 1.554 Å, 59.50 deg, rel. 18, (3 3 1); 1.416 Å, 65.95 deg, rel. 18, (3 1 2)

Structural model:
abc: 7.315 7.315 3.583
angles: 90.00 90.00 90.00
Atoms (fractional coordinates):
Er: 0.174 0.326 0.000
Er: 0.326 0.826 0.000
Er: 0.674 0.174 0.000
Er: 0.826 0.674 0.000
In: 0.000 0.000 0.500
In: 0.500 0.500 0.500
Ni: 0.119 0.619 0.500
Ni: 0.381 0.119 0.500
Ni: 0.619 0.881 0.500
Ni: 0.881 0.381 0.500

Starting from a crystal structure in the Materials Project, relaxed with GGA-PBE, the powder X-ray diffraction pattern of LiMg14BO16 was calculated for Cu Kα, 1.54184 Å.

Main lines, low angle first (2θ from 10° to 90°):
2.447 Å, 36.73 deg, rel. 24, (1 2 2); 2.150 Å, 42.02 deg, rel. 100, (0 0 4); 2.131 Å, 42.42 deg, rel. 98, (2 0 0); 2.077 Å, 43.57 deg, rel. 78, (0 4 0); 1.514 Å, 61.24 deg, rel. 55, (2 0 4); 1.494 Å, 62.13 deg, rel. 45, (0 4 4); 1.487 Å, 62.43 deg, rel. 46, (2 4 0); 1.223 Å, 78.13 deg, rel. 42, (2 4 4)

Structural model:
abc: 4.262 8.309 8.601
angles: 90.00 90.00 90.00
Atoms (fractional coordinates):
Li: 0.000 0.000 0.000
Mg: 0.000 0.000 0.500
Mg: 0.000 0.253 0.254
Mg: 0.000 0.253 0.746
Mg: 0.000 0.500 0.500
Mg: 0.000 0.747 0.254
Mg: 0.000 0.747 0.746
Mg: 0.500 0.000 0.241
Mg: 0.500 0.000 0.759
Mg: 0.500 0.249 0.500
Mg: 0.500 0.257 0.000
Mg: 0.500 0.500 0.247
Mg: 0.500 0.500 0.753
Mg: 0.500 0.743 0.000
Mg: 0.500 0.751 0.500
B: 0.000 0.500 0.000
O: 0.000 0.000 0.244
O: 0.000 0.000 0.756
O: 0.000 0.247 0.500
O: 0.000 0.330 0.000
O: 0.000 0.500 0.261
O: 0.000 0.500 0.739
O: 0.000 0.670 0.000
O: 0.000 0.753 0.500
O: 0.500 0.000 0.000
O: 0.500 0.000 0.500
O: 0.500 0.250 0.245
O: 0.500 0.250 0.755
O: 0.500 0.500 0.000
O: 0.500 0.500 0.500
O: 0.500 0.750 0.245
O: 0.500 0.750 0.755